The following is a calculated powder X-ray diffraction pattern of Tb2Bi2O7. It was derived from the GGA-PBE geometry in the Materials Project, using Cu Kα X-rays.

Atomic structure:
a = 10.9443 Å, b = 10.9443 Å, c = 10.9443 Å
α = 90.00°, β = 90.00°, γ = 90.00°
Space group Fd-3m (No. 227, origin choice 2)
Unique sites:
Tb  0.0000  0.0000  0.0000 x16
Bi  0.0000  0.0000  0.5000 x16
O  0.1024  0.3750  0.8750 x48
O  0.1250  0.1250  0.1250 x8

Principal peaks in the range 2θ from 10° to 90°, in order of rising 2θ:
index, two_theta, Rel. int.
3 1 1, 27.02, 2.6
2 2 2, 28.25, 100.0
4 0 0, 32.73, 36.6
4 4 0, 46.97, 48.9
6 2 2, 55.71, 46.4
4 4 4, 58.42, 10.6
8 0 0, 68.60, 7.6
6 6 2, 75.77, 19.2
8 4 0, 78.11, 14.9
8 4 4, 87.29, 16.1